No. 1
Diffraction record for RbHCl3. The X-ray diffraction stick pattern is simulated, not measured: it uses a DFT-relaxed cell (PBE, Alexandria) and copper Kα.
Intensities are scaled so that the largest is 100.

Main lines, low angle first (10° ≤ 2θ ≤ 80°):
| 2θ (°) | Rel. int. |
| --- | --- |
| 18.17 | 42 |
| 20.03 | 27 |
| 24.50 | 17 |
| 28.74 | 51 |
| 29.81 | 84 |
| 31.85 | 57 |
| 33.39 | 100 |
| 35.15 | 17 |
| 42.53 | 19 |
| 42.64 | 17 |
| 52.25 | 16 |
| 55.25 | 21 |

a = 5.9913 Å, b = 6.5906 Å, c = 7.2665 Å
α = 90.00°, β = 90.08°, γ = 90.00°
Positions (direct):
Rb (0.2499, 0.2500, 0.1974)
Rb (0.7501, 0.7500, 0.8026)
H (0.2486, 0.2500, 0.6976)
H (0.7514, 0.7500, 0.3024)
Cl (0.2488, 0.0161, 0.6806)
Cl (0.2488, 0.4839, 0.6806)
Cl (0.2512, 0.7500, 0.0333)
Cl (0.7488, 0.2500, 0.9667)
Cl (0.7512, 0.5161, 0.3194)
Cl (0.7512, 0.9839, 0.3194)

***

No. 2
Diffraction record for RbTaH2Cl8. The X-ray diffraction stick pattern is simulated, not measured: it uses a DFT-relaxed cell (PBE, Alexandria) and copper Kα.
Intensities are scaled so that the largest is 100.

Main lines, low angle first (10° ≤ 2θ ≤ 80°):
| 2θ (°) | Rel. int. |
| --- | --- |
| 10.92 | 51 |
| 13.75 | 100 |
| 14.58 | 99 |
| 16.28 | 34 |
| 17.05 | 66 |
| 19.71 | 50 |
| 21.93 | 44 |
| 22.75 | 51 |
| 27.70 | 33 |
| 28.03 | 56 |
| 31.68 | 48 |
| 34.98 | 39 |

a = 6.7068 Å, b = 7.1181 Å, c = 8.6869 Å
α = 70.57°, β = 77.68°, γ = 76.08°
Positions (direct):
Rb (0.0000, 0.0000, 0.0000)
Ta (0.0000, 0.5000, 0.5000)
H (0.4217, 0.2441, 0.2232)
H (0.5783, 0.7559, 0.7768)
Cl (0.0548, 0.4883, 0.7640)
Cl (0.1435, 0.7986, 0.3815)
Cl (0.3361, 0.2988, 0.4641)
Cl (0.4726, 0.2057, 0.0807)
Cl (0.5274, 0.7943, 0.9193)
Cl (0.6639, 0.7012, 0.5359)
Cl (0.8565, 0.2014, 0.6185)
Cl (0.9452, 0.5117, 0.2360)

***

No. 3
Diffraction record for Rb2TcHCl6. The X-ray diffraction stick pattern is simulated, not measured: it uses a DFT-relaxed cell (PBE, Alexandria) and copper Kα.
Intensities are scaled so that the largest is 100.

Main lines, low angle first (10° ≤ 2θ ≤ 80°):
| 2θ (°) | Rel. int. |
| --- | --- |
| 14.87 | 60 |
| 22.55 | 53 |
| 25.27 | 100 |
| 29.99 | 64 |
| 31.62 | 40 |
| 32.10 | 97 |
| 41.28 | 41 |
| 46.04 | 34 |
| 51.52 | 29 |
| 51.87 | 46 |
| 63.57 | 32 |
| 73.04 | 20 |

a = 7.1958 Å, b = 7.1958 Å, c = 7.1958 Å
α = 113.53°, β = 113.53°, γ = 101.62°
Positions (direct):
Rb (0.2500, 0.7500, 0.5000)
Rb (0.7500, 0.2500, 0.5000)
Tc (0.0000, 0.0000, 0.0000)
H (0.5000, 0.5000, 0.0000)
Cl (0.2119, 0.2119, 0.4237)
Cl (0.2119, 0.7881, 0.0000)
Cl (0.3272, 0.3272, 0.0000)
Cl (0.6728, 0.6728, 0.0000)
Cl (0.7881, 0.2119, 0.0000)
Cl (0.7881, 0.7881, 0.5763)

***

No. 4
Diffraction record for ReHCl3. The X-ray diffraction stick pattern is simulated, not measured: it uses a DFT-relaxed cell (PBE, Alexandria) and copper Kα.
Intensities are scaled so that the largest is 100.

Main lines, low angle first (10° ≤ 2θ ≤ 80°):
| 2θ (°) | Rel. int. |
| --- | --- |
| 11.78 | 100 |
| 13.81 | 95 |
| 18.19 | 54 |
| 25.49 | 10 |
| 27.52 | 9 |
| 30.31 | 16 |
| 36.57 | 13 |
| 36.86 | 12 |
| 39.53 | 9 |
| 40.89 | 9 |
| 44.24 | 9 |
| 45.08 | 11 |

a = 7.5459 Å, b = 6.4116 Å, c = 10.6864 Å
α = 90.00°, β = 95.24°, γ = 90.00°
Positions (direct):
Re (0.0622, 0.0183, 0.1339)
Re (0.0622, 0.9817, 0.6339)
Re (0.9378, 0.0183, 0.3661)
Re (0.9378, 0.9817, 0.8661)
H (0.1181, 0.2173, 0.2256)
H (0.1181, 0.7827, 0.7256)
H (0.8819, 0.2173, 0.2744)
H (0.8819, 0.7827, 0.7744)
Cl (0.1203, 0.2597, 0.4838)
Cl (0.1203, 0.7403, 0.9838)
Cl (0.2006, 0.1744, 0.8061)
Cl (0.2006, 0.8256, 0.3061)
Cl (0.3369, 0.1509, 0.0893)
Cl (0.3369, 0.8491, 0.5893)
Cl (0.6631, 0.1509, 0.4107)
Cl (0.6631, 0.8491, 0.9107)
Cl (0.7994, 0.1744, 0.6939)
Cl (0.7994, 0.8256, 0.1939)
Cl (0.8797, 0.2597, 0.0162)
Cl (0.8797, 0.7403, 0.5162)

***

No. 5
Diffraction record for ReH12Cl6. The X-ray diffraction stick pattern is simulated, not measured: it uses a DFT-relaxed cell (PBE, Alexandria) and copper Kα.
Intensities are scaled so that the largest is 100.

Main lines, low angle first (10° ≤ 2θ ≤ 80°):
| 2θ (°) | Rel. int. |
| --- | --- |
| 12.33 | 100 |
| 16.07 | 43 |
| 18.77 | 16 |
| 22.52 | 17 |
| 26.00 | 15 |
| 31.29 | 17 |
| 32.47 | 14 |
| 37.59 | 13 |
| 40.17 | 7 |
| 42.06 | 10 |
| 46.83 | 7 |
| 48.87 | 7 |

a = 7.3851 Å, b = 7.3851 Å, c = 7.3851 Å
α = 79.60°, β = 79.60°, γ = 79.60°
Positions (direct):
Re (0.0000, 0.0000, 0.0000)
H (0.0075, 0.5414, 0.4630)
H (0.1248, 0.2280, 0.2220)
H (0.2220, 0.1248, 0.2280)
H (0.2280, 0.2220, 0.1248)
H (0.4586, 0.5370, 0.9925)
H (0.4630, 0.0075, 0.5414)
H (0.5370, 0.9925, 0.4586)
H (0.5414, 0.4630, 0.0075)
H (0.7720, 0.7780, 0.8752)
H (0.7780, 0.8752, 0.7720)
H (0.8752, 0.7720, 0.7780)
H (0.9925, 0.4586, 0.5370)
Cl (0.1367, 0.7776, 0.7986)
Cl (0.2014, 0.8633, 0.2224)
Cl (0.2224, 0.2014, 0.8633)
Cl (0.7776, 0.7986, 0.1367)
Cl (0.7986, 0.1367, 0.7776)
Cl (0.8633, 0.2224, 0.2014)

***

Question: Number 4 is which compound?
Answer: ReHCl3

***

Question: Which formula does entry 1 have?
Answer: RbHCl3